Record 1
Diffraction record for TaSiRh. The PXRD pattern is calculated, not measured: it uses DFT lattice parameters and positions (PBE) and Cu Kα.
Lines closer than 0.1° are merged.

The 8 most intense peaks (2θ = 10–80°), by angle:
2theta  d/Å  I/Imax  (hkl)
26.58  3.354  28  0 1 1
36.79  2.443  31  2 1 0
36.92  2.435  100  1 1 2
38.84  2.318  74  2 1 1
39.36  2.289  43  1 0 3
44.09  2.054  38  3 0 1
48.29  1.885  30  0 2 0
72.27  1.307  22  3 1 4

Crystal structure
```
data_TaSiRh
_chemical_formula_sum 'Ta4 Si4 Rh4'
_cell_length_a 6.417
_cell_length_b 3.769
_cell_length_c 7.351
_cell_angle_alpha 90.00
_cell_angle_beta 90.00
_cell_angle_gamma 90.00
_space_group_name_H-M_alt 'P n m a'
_space_group_IT_number 62
_space_group_name_Hall '-P 2ac 2n'
loop_
_atom_site_label
_atom_site_fract_x
_atom_site_fract_y
_atom_site_fract_z
Ta1 0.026 0.250 0.173
Si1 0.233 0.750 0.375
Rh1 0.145 0.250 0.564
```

=====

Record 2
Diffraction record for ThSiRh. The PXRD pattern is calculated, not measured: it uses DFT lattice parameters and positions (PBE) and Cu Kα.
Lines closer than 0.1° are merged.

The 8 most intense peaks (2θ = 10–80°), by angle:
2theta  d/Å  I/Imax  (hkl)
22.24  3.998  19  1 0 1
28.34  3.149  50  1 0 3
32.87  2.725  100  1 1 2
37.89  2.374  47  1 0 5
43.51  2.080  34  2 0 0
49.26  1.850  21  1 0 7
59.04  1.565  26  2 1 5
73.12  1.294  20  3 1 2

Crystal structure
```
data_ThSiRh
_chemical_formula_sum 'Th4 Si4 Rh4'
_cell_length_a 4.160
_cell_length_b 4.160
_cell_length_c 14.458
_cell_angle_alpha 90.00
_cell_angle_beta 90.00
_cell_angle_gamma 90.00
_space_group_name_H-M_alt 'I 41 m d'
_space_group_IT_number 109
_space_group_name_Hall 'I 4bw -2'
loop_
_atom_site_label
_atom_site_fract_x
_atom_site_fract_y
_atom_site_fract_z
Th1 0.000 0.000 0.000
Si1 0.000 0.000 0.421
Rh1 0.000 0.000 0.589
```

=====

Record 3
Diffraction record for ThSi3Rh. The PXRD pattern is calculated, not measured: it uses DFT lattice parameters and positions (PBE) and Cu Kα.
Lines closer than 0.1° are merged.

The 8 most intense peaks (2θ = 10–80°), by angle:
2theta  d/Å  I/Imax  (hkl)
18.31  4.845  23  0 0 2
22.67  3.922  64  1 0 1
29.45  3.033  64  1 1 0
34.77  2.580  100  1 0 3
34.90  2.571  64  1 1 2
42.14  2.144  46  2 0 0
55.74  1.649  52  2 1 3
72.32  1.307  28  3 0 3

Crystal structure
```
data_ThSi3Rh
_chemical_formula_sum 'Th2 Si6 Rh2'
_cell_length_a 4.289
_cell_length_b 4.289
_cell_length_c 9.689
_cell_angle_alpha 90.00
_cell_angle_beta 90.00
_cell_angle_gamma 90.00
_space_group_name_H-M_alt 'I 4 m m'
_space_group_IT_number 107
_space_group_name_Hall 'I 4 -2'
loop_
_atom_site_label
_atom_site_fract_x
_atom_site_fract_y
_atom_site_fract_z
Th1 0.000 0.000 0.000
Si1 0.000 0.000 0.410
Si2 0.000 0.500 0.265
Rh1 0.000 0.000 0.656
```

=====

Record 4
Diffraction record for ThSiRh. The PXRD pattern is calculated, not measured: it uses DFT lattice parameters and positions (PBE) and Cu Kα.
Lines closer than 0.1° are merged.

The 8 most intense peaks (2θ = 10–80°), by angle:
2theta  d/Å  I/Imax  (hkl)
23.02  3.864  29  0 0 4
28.30  3.154  26  1 0 3
33.56  2.670  100  1 1 2
36.53  2.460  28  0 1 5
44.64  2.030  15  0 2 0
45.48  1.994  15  2 0 0
47.04  1.932  15  1 0 7
76.42  1.246  16  3 1 2

Crystal structure
```
data_ThSiRh
_chemical_formula_sum 'Th4 Si4 Rh4'
_cell_length_a 3.989
_cell_length_b 4.060
_cell_length_c 15.458
_cell_angle_alpha 90.00
_cell_angle_beta 90.00
_cell_angle_gamma 90.00
_space_group_name_H-M_alt 'I m m a'
_space_group_IT_number 74
_space_group_name_Hall '-I 2b 2'
loop_
_atom_site_label
_atom_site_fract_x
_atom_site_fract_y
_atom_site_fract_z
Th1 0.000 0.250 0.122
Si1 0.000 0.250 0.710
Rh1 0.000 0.250 0.558
```

=====

Record 5
Diffraction record for TiSiRh. The PXRD pattern is calculated, not measured: it uses DFT lattice parameters and positions (PBE) and Cu Kα.
Lines closer than 0.1° are merged.

The 8 most intense peaks (2θ = 10–80°), by angle:
2theta  d/Å  I/Imax  (hkl)
18.67  4.753  34  1 0 1
29.95  2.984  45  1 1 1
36.98  2.431  100  2 1 0
39.11  2.303  38  2 1 1
44.18  2.050  43  0 1 3
45.09  2.011  32  3 0 1
47.41  1.917  48  0 2 0
73.24  1.292  27  3 1 4

Crystal structure
```
data_TiSiRh
_chemical_formula_sum 'Ti4 Si4 Rh4'
_cell_length_a 6.276
_cell_length_b 3.833
_cell_length_c 7.280
_cell_angle_alpha 90.00
_cell_angle_beta 90.00
_cell_angle_gamma 90.00
_space_group_name_H-M_alt 'P n m a'
_space_group_IT_number 62
_space_group_name_Hall '-P 2ac 2n'
loop_
_atom_site_label
_atom_site_fract_x
_atom_site_fract_y
_atom_site_fract_z
Ti1 0.025 0.250 0.182
Si1 0.232 0.750 0.378
Rh1 0.153 0.250 0.564
```

=====

Record 6
Diffraction record for TmSi3Rh5. The PXRD pattern is calculated, not measured: it uses DFT lattice parameters and positions (PBE) and Cu Kα.
Lines closer than 0.1° are merged.

The 8 most intense peaks (2θ = 10–80°), by angle:
2theta  d/Å  I/Imax  (hkl)
28.78  3.102  18  3 2 0
28.94  3.085  8  2 1 1
35.25  2.546  9  4 0 1
37.14  2.421  100  3 2 1
41.71  2.165  8  2 5 0
46.98  1.934  28  0 0 2
50.99  1.791  16  1 7 0
71.82  1.314  12  1 7 2

Crystal structure
```
data_TmSi3Rh5
_chemical_formula_sum 'Tm6 Si18 Rh30'
_cell_length_a 15.6152
_cell_length_b 15.6152
_cell_length_c 3.8699
_cell_angle_alpha 90.00
_cell_angle_beta 90.00
_cell_angle_gamma 120.00
_space_group_name_H-M_alt 'P 63/m'
_space_group_IT_number 176
_space_group_name_Hall '-P 6c'
loop_
_atom_site_label
_atom_site_fract_x
_atom_site_fract_y
_atom_site_fract_z
Tm1 0.1001 0.7058 0.2500
Si1 0.0613 0.4319 0.2500
Si2 0.1190 0.8685 0.7500
Si3 0.2392 0.6813 0.7500
Rh1 0.0283 0.8876 0.2500
Rh2 0.0439 0.2710 0.2500
Rh3 0.0751 0.5390 0.7500
Rh4 0.1541 0.4141 0.7500
Rh5 0.2234 0.5709 0.2500
```

=====

Record 7
Diffraction record for U2Si5Rh3. The PXRD pattern is calculated, not measured: it uses DFT lattice parameters and positions (PBE) and Cu Kα.
Lines closer than 0.1° are merged.

The 8 most intense peaks (2θ = 10–80°), by angle:
2theta  d/Å  I/Imax  (hkl)
23.55  3.778  49  1 2 1
30.72  2.910  26  0 0 2
31.17  2.870  23  0 4 0
34.93  2.568  100  3 2 1
35.78  2.509  47  2 0 2
36.19  2.482  50  2 4 0
44.33  2.043  51  0 4 2
57.37  1.606  24  3 2 3

Crystal structure
```
data_U2Si5Rh3
_chemical_formula_sum 'U8 Si20 Rh12'
_cell_length_a 9.906
_cell_length_b 11.479
_cell_length_c 5.821
_cell_angle_alpha 90.00
_cell_angle_beta 90.00
_cell_angle_gamma 90.00
_space_group_name_H-M_alt 'I b a m'
_space_group_IT_number 72
_space_group_name_Hall '-I 2 2c'
loop_
_atom_site_label
_atom_site_fract_x
_atom_site_fract_y
_atom_site_fract_z
U1 0.231 0.133 0.000
Si1 0.000 0.000 0.250
Si2 0.000 0.278 0.250
Si3 0.155 0.394 0.000
Rh1 0.000 0.500 0.250
Rh2 0.110 0.140 0.500
```

=====

Record 8
Diffraction record for U2Si5Rh3. The PXRD pattern is calculated, not measured: it uses DFT lattice parameters and positions (PBE) and Cu Kα.
Lines closer than 0.1° are merged.

The 8 most intense peaks (2θ = 10–80°), by angle:
2theta  d/Å  I/Imax  (hkl)
23.55  3.778  64  2 2 -1
30.51  2.930  48  0 4 0
31.08  2.878  47  2 0 -2
34.84  2.575  94  2 2 1
35.13  2.554  100  4 2 -1
35.66  2.518  82  2 4 0
35.95  2.498  52  0 0 2
44.11  2.053  99  2 4 -2

Crystal structure
```
data_U2Si5Rh3
_chemical_formula_sum 'U8 Si20 Rh12'
_cell_length_a 11.352
_cell_length_b 11.719
_cell_length_c 5.756
_cell_angle_alpha 90.00
_cell_angle_beta 119.79
_cell_angle_gamma 90.00
_space_group_name_H-M_alt 'C 1 2/c 1'
_space_group_IT_number 15
_space_group_name_Hall '-C 2yc'
loop_
_atom_site_label
_atom_site_fract_x
_atom_site_fract_y
_atom_site_fract_z
U1 0.231 0.135 0.235
Si1 0.000 0.011 0.250
Si2 0.000 0.279 0.250
Si3 0.000 0.289 0.750
Si4 0.161 0.396 0.164
Rh1 0.000 0.500 0.250
Rh2 0.103 0.142 0.624
```

=====

Record 9
Diffraction record for Y2Si2Rh. The PXRD pattern is calculated, not measured: it uses DFT lattice parameters and positions (PBE) and Cu Kα.
Lines closer than 0.1° are merged.

The 8 most intense peaks (2θ = 10–80°), by angle:
2theta  d/Å  I/Imax  (hkl)
27.54  3.239  25  1 1 -2
33.28  2.692  19  3 1 -1
33.73  2.657  100  1 1 2
37.08  2.425  45  3 1 -3
40.72  2.216  20  0 0 4
41.14  2.194  37  3 1 1
42.83  2.111  34  0 2 0
60.55  1.529  19  0 2 4

Crystal structure
```
data_Y2Si2Rh
_chemical_formula_sum 'Y8 Si8 Rh4'
_cell_length_a 10.598
_cell_length_b 4.222
_cell_length_c 10.097
_cell_angle_alpha 90.00
_cell_angle_beta 118.62
_cell_angle_gamma 90.00
_space_group_name_H-M_alt 'C 1 2/m 1'
_space_group_IT_number 12
_space_group_name_Hall '-C 2y'
loop_
_atom_site_label
_atom_site_fract_x
_atom_site_fract_y
_atom_site_fract_z
Y1 0.002 0.000 0.176
Y2 0.185 0.000 0.609
Si1 0.011 0.500 0.380
Si2 0.141 0.500 0.065
Rh1 0.226 0.500 0.873
```

=====

Record 10
Diffraction record for Y4Si5Rh9. The PXRD pattern is calculated, not measured: it uses DFT lattice parameters and positions (PBE) and Cu Kα.
Lines closer than 0.1° are merged.

The 8 most intense peaks (2θ = 10–80°), by angle:
2theta  d/Å  I/Imax  (hkl)
23.65  3.763  30  0 0 9
32.35  2.767  53  1 0 10
34.62  2.591  25  0 1 11
37.58  2.393  100  0 2 1
37.87  2.376  27  2 0 2
40.43  2.231  85  1 1 9
43.35  2.087  35  2 0 8
67.63  1.385  36  2 2 0

Crystal structure
```
data_Y4Si5Rh9
_chemical_formula_sum 'Y12 Si15 Rh27'
_cell_length_a 5.5413
_cell_length_b 5.5413
_cell_length_c 33.8626
_cell_angle_alpha 90.00
_cell_angle_beta 90.00
_cell_angle_gamma 120.00
_space_group_name_H-M_alt 'R -3 m'
_space_group_IT_number 166
_space_group_name_Hall '-R 3 2"'
loop_
_atom_site_label
_atom_site_fract_x
_atom_site_fract_y
_atom_site_fract_z
Y1 0.0000 0.0000 0.0512
Y2 0.0000 0.0000 0.1489
Si1 0.0000 0.0000 0.2784
Si2 0.0000 0.0000 0.3882
Si3 0.0000 0.0000 0.5000
Rh1 0.0000 0.5000 0.0000
Rh2 0.0000 0.5000 0.1083
```

=====

Record 11
Diffraction record for YSi2Rh3. The PXRD pattern is calculated, not measured: it uses DFT lattice parameters and positions (PBE) and Cu Kα.
Lines closer than 0.1° are merged.

The 8 most intense peaks (2θ = 10–80°), by angle:
2theta  d/Å  I/Imax  (hkl)
24.75  3.598  15  2 0 0
31.03  2.882  60  2 1 1
37.35  2.408  100  0 4 0
41.02  2.200  65  2 3 1
45.31  2.001  60  2 2 2
56.67  1.624  23  2 5 1
64.68  1.441  24  4 4 0
67.36  1.390  21  0 6 2

Crystal structure
```
data_YSi2Rh3
_chemical_formula_sum 'Y4 Si8 Rh12'
_cell_length_a 7.196
_cell_length_b 9.638
_cell_length_c 5.556
_cell_angle_alpha 90.00
_cell_angle_beta 90.00
_cell_angle_gamma 90.00
_space_group_name_H-M_alt 'I m m a'
_space_group_IT_number 74
_space_group_name_Hall '-I 2b 2'
loop_
_atom_site_label
_atom_site_fract_x
_atom_site_fract_y
_atom_site_fract_z
Y1 0.000 0.250 0.210
Si1 0.000 0.079 0.696
Rh1 0.215 0.000 0.000
Rh2 0.250 0.250 0.750
```

=====

Record 12
Diffraction record for Y2Si3Rh. The PXRD pattern is calculated, not measured: it uses DFT lattice parameters and positions (PBE) and Cu Kα.
Lines closer than 0.1° are merged.

The 8 most intense peaks (2θ = 10–80°), by angle:
2theta  d/Å  I/Imax  (hkl)
21.72  4.092  12  1 1 0
25.13  3.543  10  2 0 0
33.85  2.648  100  2 0 2
44.27  2.046  42  2 2 0
45.51  1.993  12  0 0 4
56.87  1.619  21  4 0 2
65.37  1.428  25  2 2 4
74.78  1.270  19  4 2 2

Crystal structure
```
data_Y2Si3Rh
_chemical_formula_sum 'Y8 Si12 Rh4'
_cell_length_a 8.1834
_cell_length_b 8.1834
_cell_length_c 7.9729
_cell_angle_alpha 90.00
_cell_angle_beta 90.00
_cell_angle_gamma 120.00
_space_group_name_H-M_alt 'P 63/m m c'
_space_group_IT_number 194
_space_group_name_Hall '-P 6c 2c'
loop_
_atom_site_label
_atom_site_fract_x
_atom_site_fract_y
_atom_site_fract_z
Y1 0.0000 0.0000 0.2500
Y2 0.0080 0.5040 0.2500
Si1 0.1663 0.3325 0.5007
Rh1 0.3333 0.6667 0.5140
```